This entry pairs a crystal structure of KHgBr3O with its computed powder diffraction line list. Radiation: Cu Kα X-rays. Structure: the GGA-PBE geometry in the Materials Project.
No peak broadening, texture or thermal motion is included.

The 10 most intense peaks (10 to 90 degrees two-theta), by angle:
two_theta	Rel. int.
20.69	81
20.97	44
26.73	35
27.19	54
27.87	100
31.30	55
37.29	41
40.82	32
43.16	31
45.57	28

Crystal structure
```
KHgBr3O
1.0
2.2106 -8.9784 0.0000
2.2106 8.9784 0.0000
0.0000 0.0000 9.6077
K Hg Br O
2 2 6 2
Direct
0.2381 0.7619 0.5000
0.7619 0.2381 0.0000
0.4962 0.5038 0.1386
0.5038 0.4962 0.6386
0.0410 0.9590 0.9887
0.3581 0.6419 0.2153
0.3861 0.6139 0.8323
0.6139 0.3861 0.3323
0.6419 0.3581 0.7153
0.9590 0.0410 0.4887
0.2888 0.7112 0.7856
0.7112 0.2888 0.2856
```